# BaPt
Simulated powder diffractogram, copper Kα. Input: a crystal structure in the Materials Project, relaxed with PBE.
Intensities are scaled so that the largest is 100.

Crystal structure
Cell: 5.1751 5.1751 5.4676 Å, 90.00 90.00 120.00°
Space group P6_3/mmc (No. 194)
Symmetry-distinct sites (fractional):
Ba 0.3333 0.6667 0.2500 [2 per cell]
Pt 0.0000 0.0000 0.0000 [2 per cell]

The 6 most intense peaks (2θ from 10° to 90°), sorted by position:
2theta, intensity
19.81, 60
25.70, 54
34.67, 100
38.58, 95
52.83, 39
64.74, 42